No. 1
Starting from a DFT-relaxed cell (GGA-PBE, the Materials Project), the powder diffractogram of PmTmMg2 was computed for copper Kα.
Intensities are scaled so that the largest is 100.

Structural model:
```
data_PmTmMg2
_chemical_formula_sum 'Pm4 Tm4 Mg8'
_cell_length_a 7.6179
_cell_length_b 7.6179
_cell_length_c 7.6179
_cell_angle_alpha 90.00
_cell_angle_beta 90.00
_cell_angle_gamma 90.00
_space_group_name_H-M_alt 'F m -3 m'
_space_group_IT_number 225
_space_group_name_Hall '-F 4 2 3'
loop_
_atom_site_label
_atom_site_type_symbol
_atom_site_fract_x
_atom_site_fract_y
_atom_site_fract_z
Pm1 Pm 0.0000 0.0000 0.0000
Tm1 Tm 0.0000 0.0000 0.5000
Mg1 Mg 0.2500 0.2500 0.2500
```

The 10 most intense peaks (15° ≤ 2θ ≤ 90°), by intensity:
2θ 33.3, rel. 100, (2 2 0); 2θ 23.4, rel. 63, (2 0 0); 2θ 59.4, rel. 38, (4 2 2); 2θ 53.8, rel. 27, (4 2 0); 2θ 41.0, rel. 19, (2 2 2); 2θ 47.8, rel. 18, (4 0 0); 2θ 79.6, rel. 16, (6 2 0); 2θ 74.8, rel. 13, (6 0 0); 2θ 69.8, rel. 12, (4 4 0); 2θ 84.3, rel. 8, (6 2 2)

No. 2
Starting from a DFT-relaxed cell (GGA-PBE, the Materials Project), the powder diffractogram of Sc2O3 was computed for copper Kα.
Intensities are scaled so that the largest is 100.

Structural model:
```
data_Sc2O3
_chemical_formula_sum 'Sc12 O18'
_cell_length_a 5.4313
_cell_length_b 5.4313
_cell_length_c 14.8444
_cell_angle_alpha 90.00
_cell_angle_beta 90.00
_cell_angle_gamma 120.00
_space_group_name_H-M_alt 'R -3'
_space_group_IT_number 148
_space_group_name_Hall '-R 3'
loop_
_atom_site_label
_atom_site_type_symbol
_atom_site_fract_x
_atom_site_fract_y
_atom_site_fract_z
Sc1 Sc 0.0000 0.0000 0.0000
Sc2 Sc 0.0000 0.0000 0.2003
Sc3 Sc 0.0000 0.0000 0.5000
O1 O 0.0163 0.7092 0.0941
```

The 10 most intense peaks (15° ≤ 2θ ≤ 90°), by intensity:
2θ 33.0, rel. 100, (1 1 0); 2θ 17.9, rel. 84, (0 0 3); 2θ 49.9, rel. 82, (2 -1 6); 2θ 37.8, rel. 80, (2 -1 3); 2θ 30.7, rel. 79, (1 0 4); 2θ 58.9, rel. 59, (3 0 0); 2θ 45.7, rel. 43, (0 2 4); 2θ 57.5, rel. 31, (2 1 4); 2θ 19.8, rel. 30, (1 0 1); 2θ 35.8, rel. 28, (0 1 5)

No. 3
Starting from a DFT-relaxed cell (GGA-PBE, the Materials Project), the powder diffractogram of TaPd3 was computed for copper Kα.
Intensities are scaled so that the largest is 100.

Structural model:
```
data_TaPd3
_chemical_formula_sum 'Ta10 Pd30'
_cell_length_a 5.5699
_cell_length_b 5.5699
_cell_length_c 23.4128
_cell_angle_alpha 90.00
_cell_angle_beta 90.00
_cell_angle_gamma 120.00
_space_group_name_H-M_alt 'P 63/m m c'
_space_group_IT_number 194
_space_group_name_Hall '-P 6c 2c'
loop_
_atom_site_label
_atom_site_type_symbol
_atom_site_fract_x
_atom_site_fract_y
_atom_site_fract_z
Ta1 Ta 0.0000 0.0000 0.2500
Ta2 Ta 0.3333 0.6667 0.0437
Ta3 Ta 0.3333 0.6667 0.6512
Pd1 Pd 0.0021 0.5011 0.7500
Pd2 Pd 0.1668 0.3336 0.1510
Pd3 Pd 0.1682 0.3364 0.5525
```

The 10 most intense peaks (15° ≤ 2θ ≤ 90°), by intensity:
2θ 42.1, rel. 100, (2 0 5); 2θ 38.4, rel. 44, (0 0 10); 2θ 80.2, rel. 31, (2 2 10); 2θ 67.2, rel. 26, (2 2 0); 2θ 38.1, rel. 25, (2 0 2); 2θ 40.5, rel. 20, (2 0 4); 2θ 72.1, rel. 19, (2 0 15); 2θ 44.1, rel. 18, (2 0 6); 2θ 82.6, rel. 14, (4 0 5); 2θ 48.9, rel. 13, (2 0 8)

No. 4
Starting from a DFT-relaxed cell (GGA-PBE, the Materials Project), the powder diffractogram of NaZnAsO4 was computed for copper Kα.
Intensities are scaled so that the largest is 100.

Structural model:
```
data_NaZnAsO4
_chemical_formula_sum 'Na6 Zn6 As6 O24'
_cell_length_a 9.1324
_cell_length_b 9.1324
_cell_length_c 8.4703
_cell_angle_alpha 90.00
_cell_angle_beta 90.00
_cell_angle_gamma 120.00
_space_group_name_H-M_alt 'P 63'
_space_group_IT_number 173
_space_group_name_Hall 'P 6c'
loop_
_atom_site_label
_atom_site_type_symbol
_atom_site_fract_x
_atom_site_fract_y
_atom_site_fract_z
Na1 Na 0.0000 0.0000 0.0000
Na2 Na 0.3333 0.6667 0.4395
Na3 Na 0.3333 0.6667 0.9785
Zn1 Zn 0.0231 0.6754 0.6956
As1 As 0.0282 0.6899 0.3070
O1 O 0.0952 0.5260 0.7914
O2 O 0.0979 0.2207 0.7957
O3 O 0.1316 0.7445 0.4861
O4 O 0.1936 0.7734 0.1723
```

The 10 most intense peaks (15° ≤ 2θ ≤ 90°), by intensity:
2θ 34.0, rel. 100, (3 0 0); 2θ 28.8, rel. 91, (1 1 2); 2θ 22.1, rel. 86, (1 1 1); 2θ 37.4, rel. 84, (1 1 3); 2θ 21.0, rel. 80, (0 0 2); 2θ 19.4, rel. 70, (1 1 0); 2θ 58.1, rel. 37, (1 1 5); 2θ 51.5, rel. 35, (2 2 3); 2θ 63.1, rel. 35, (4 1 3); 2θ 40.3, rel. 31, (3 0 2)

No. 5
Starting from a DFT-relaxed cell (GGA-PBE, the Materials Project), the powder diffractogram of KMg3AlSi3O10F2 was computed for copper Kα.
Intensities are scaled so that the largest is 100.

Structural model:
```
data_KMg3AlSi3O10F2
_chemical_formula_sum 'K2 Mg6 Al2 Si6 O20 F4'
_cell_length_a 5.8032
_cell_length_b 12.9927
_cell_length_c 7.2021
_cell_angle_alpha 90.00
_cell_angle_beta 90.05
_cell_angle_gamma 90.00
_space_group_name_H-M_alt 'P 1 21 1'
_space_group_IT_number 4
_space_group_name_Hall 'P 2yb'
loop_
_atom_site_label
_atom_site_type_symbol
_atom_site_fract_x
_atom_site_fract_y
_atom_site_fract_z
K1 K 0.2336 0.0000 0.4406
Mg1 Mg 0.0959 0.4758 0.1326
Mg2 Mg 0.4472 0.0935 0.9031
Mg3 Mg 0.4677 0.8330 0.1006
Al1 Al 0.4477 0.2653 0.2814
Si1 Si 0.0008 0.3008 0.8568
Si2 Si 0.0593 0.7641 0.7463
Si3 Si 0.2751 0.6668 0.4286
O1 O 0.0324 0.7193 0.9606
O2 O 0.0703 0.6662 0.5942
O3 O 0.1091 0.9098 0.0692
O4 O 0.1758 0.3356 0.2853
O5 O 0.2193 0.7685 0.2905
O6 O 0.2472 0.3046 0.7630
O7 O 0.2853 0.8363 0.7040
O8 O 0.2961 0.5691 0.2905
O9 O 0.4755 0.2108 0.0635
O10 O 0.4781 0.1789 0.4675
F1 F 0.1687 0.0552 0.7851
F2 F 0.4067 0.4696 0.9854
```

The 10 most intense peaks (15° ≤ 2θ ≤ 90°), by intensity:
2θ 28.6, rel. 100, (1 3 1); 2θ 37.3, rel. 84, (0 4 2); 2θ 32.3, rel. 81, (0 3 2); 2θ 33.3, rel. 75, (2 0 1); 2θ 18.4, rel. 69, (0 2 1); 2θ 24.0, rel. 66, (0 3 1); 2θ 25.7, rel. 61, (0 1 2); 2θ 28.3, rel. 57, (0 2 2); 2θ 34.0, rel. 38, (1 4 -1); 2θ 20.8, rel. 38, (1 1 1)

No. 6
Starting from a DFT-relaxed cell (GGA-PBE, the Materials Project), the powder diffractogram of AgAsF7 was computed for copper Kα.
Intensities are scaled so that the largest is 100.

Structural model:
```
data_AgAsF7
_chemical_formula_sum 'Ag4 As4 F28'
_cell_length_a 7.8534
_cell_length_b 7.2204
_cell_length_c 10.0120
_cell_angle_alpha 90.00
_cell_angle_beta 90.00
_cell_angle_gamma 90.00
_space_group_name_H-M_alt 'P n m a'
_space_group_IT_number 62
_space_group_name_Hall '-P 2ac 2n'
loop_
_atom_site_label
_atom_site_type_symbol
_atom_site_fract_x
_atom_site_fract_y
_atom_site_fract_z
Ag1 Ag 0.1361 0.2500 0.2428
As1 As 0.1997 0.7500 0.0599
F1 F 0.0064 0.2500 0.0174
F2 F 0.1008 0.2500 0.6347
F3 F 0.1110 0.7500 0.6938
F4 F 0.1256 0.5753 0.1707
F5 F 0.2328 0.0778 0.4420
```

The 10 most intense peaks (15° ≤ 2θ ≤ 90°), by intensity:
2θ 18.9, rel. 100, (1 1 1); 2θ 24.7, rel. 64, (0 2 0); 2θ 29.5, rel. 62, (0 1 3); 2θ 15.1, rel. 62, (0 1 1); 2θ 24.3, rel. 58, (2 0 1); 2θ 31.5, rel. 45, (2 1 2); 2θ 46.5, rel. 29, (0 3 3); 2θ 21.0, rel. 27, (1 0 2); 2θ 47.9, rel. 24, (2 3 2); 2θ 32.6, rel. 19, (1 2 2)

No. 7
Starting from a DFT-relaxed cell (GGA-PBE, the Materials Project), the powder diffractogram of Al3Pt2 was computed for copper Kα.
Intensities are scaled so that the largest is 100.

Structural model:
```
data_Al3Pt2
_chemical_formula_sum 'Al3 Pt2'
_cell_length_a 4.2387
_cell_length_b 4.2387
_cell_length_c 5.2369
_cell_angle_alpha 90.00
_cell_angle_beta 90.00
_cell_angle_gamma 120.00
_space_group_name_H-M_alt 'P -3 m 1'
_space_group_IT_number 164
_space_group_name_Hall '-P 3 2"'
loop_
_atom_site_label
_atom_site_type_symbol
_atom_site_fract_x
_atom_site_fract_y
_atom_site_fract_z
Al1 Al 0.0000 0.0000 0.0000
Al2 Al 0.3333 0.6667 0.3532
Pt1 Pt 0.3333 0.6667 0.8331
```

The 10 most intense peaks (15° ≤ 2θ ≤ 90°), by intensity:
2θ 29.7, rel. 100, (0 1 1); 2θ 42.4, rel. 76, (1 0 2); 2θ 42.7, rel. 63, (1 1 0); 2θ 24.2, rel. 47, (1 0 0); 2θ 16.9, rel. 34, (0 0 1); 2θ 77.9, rel. 26, (2 1 2); 2θ 61.7, rel. 25, (0 2 2); 2θ 52.9, rel. 21, (2 0 1); 2θ 70.2, rel. 18, (1 2 1); 2θ 46.2, rel. 16, (1 1 1)

No. 8
Starting from a DFT-relaxed cell (GGA-PBE, the Materials Project), the powder diffractogram of LaMg6Cr was computed for copper Kα.
Intensities are scaled so that the largest is 100.

Structural model:
```
data_LaMg6Cr
_chemical_formula_sum 'La2 Mg12 Cr2'
_cell_length_a 5.2194
_cell_length_b 6.4796
_cell_length_c 11.5534
_cell_angle_alpha 90.00
_cell_angle_beta 90.00
_cell_angle_gamma 90.00
_space_group_name_H-M_alt 'A m m 2'
_space_group_IT_number 38
_space_group_name_Hall 'A 2 -2'
loop_
_atom_site_label
_atom_site_type_symbol
_atom_site_fract_x
_atom_site_fract_y
_atom_site_fract_z
La1 La 0.0000 0.0000 0.0000
Mg1 Mg 0.0000 0.2445 0.2512
Mg2 Mg 0.5000 0.0000 0.1711
Mg3 Mg 0.5000 0.0000 0.6618
Mg4 Mg 0.5000 0.2363 0.4154
Cr1 Cr 0.0000 0.0000 0.4973
```

The 10 most intense peaks (15° ≤ 2θ ≤ 90°), by intensity:
2θ 36.1, rel. 100, (1 2 2); 2θ 35.5, rel. 53, (1 0 4); 2θ 15.3, rel. 42, (0 0 2); 2θ 34.4, rel. 37, (2 0 0); 2θ 31.7, rel. 34, (0 2 2); 2θ 17.0, rel. 34, (1 0 0); 2θ 23.0, rel. 34, (1 0 2); 2θ 23.2, rel. 25, (1 1 1); 2θ 15.7, rel. 24, (0 1 1); 2θ 47.4, rel. 22, (2 2 2)

No. 9
Starting from a DFT-relaxed cell (GGA-PBE, the Materials Project), the powder diffractogram of PmSmAl2 was computed for copper Kα.
Intensities are scaled so that the largest is 100.

Structural model:
```
data_PmSmAl2
_chemical_formula_sum 'Pm4 Sm4 Al8'
_cell_length_a 7.3733
_cell_length_b 7.3733
_cell_length_c 7.3733
_cell_angle_alpha 90.00
_cell_angle_beta 90.00
_cell_angle_gamma 90.00
_space_group_name_H-M_alt 'F m -3 m'
_space_group_IT_number 225
_space_group_name_Hall '-F 4 2 3'
loop_
_atom_site_label
_atom_site_type_symbol
_atom_site_fract_x
_atom_site_fract_y
_atom_site_fract_z
Pm1 Pm 0.0000 0.0000 0.0000
Sm1 Sm 0.0000 0.0000 0.5000
Al1 Al 0.2500 0.2500 0.2500
```

The 10 most intense peaks (15° ≤ 2θ ≤ 90°), by intensity:
2θ 34.4, rel. 100, (2 2 0); 2θ 24.1, rel. 59, (2 0 0); 2θ 61.6, rel. 37, (4 2 2); 2θ 55.8, rel. 24, (4 2 0); 2θ 42.5, rel. 18, (2 2 2); 2θ 49.4, rel. 18, (4 0 0); 2θ 82.8, rel. 16, (6 2 0); 2θ 77.7, rel. 11, (6 0 0); 2θ 72.5, rel. 11, (4 4 0); 2θ 87.8, rel. 7, (6 2 2)

No. 10
Starting from a DFT-relaxed cell (GGA-PBE, the Materials Project), the powder diffractogram of PrErIn2 was computed for copper Kα.
Intensities are scaled so that the largest is 100.

Structural model:
```
data_PrErIn2
_chemical_formula_sum 'Pr4 Er4 In8'
_cell_length_a 7.6524
_cell_length_b 7.6524
_cell_length_c 7.6524
_cell_angle_alpha 90.00
_cell_angle_beta 90.00
_cell_angle_gamma 90.00
_space_group_name_H-M_alt 'F m -3 m'
_space_group_IT_number 225
_space_group_name_Hall '-F 4 2 3'
loop_
_atom_site_label
_atom_site_type_symbol
_atom_site_fract_x
_atom_site_fract_y
_atom_site_fract_z
Pr1 Pr 0.0000 0.0000 0.0000
Er1 Er 0.0000 0.0000 0.5000
In1 In 0.2500 0.2500 0.2500
```

The 10 most intense peaks (15° ≤ 2θ ≤ 90°), by intensity:
2θ 33.1, rel. 100, (2 2 0); 2θ 59.1, rel. 37, (4 2 2); 2θ 47.5, rel. 18, (4 0 0); 2θ 79.2, rel. 16, (6 2 0); 2θ 69.5, rel. 11, (4 4 0); 2θ 88.5, rel. 4, (4 4 4); 2θ 23.2, rel. 2, (2 0 0); 2θ 53.6, rel. 1, (4 2 0); 2θ 40.9, rel. 1, (2 2 2); 2θ 74.4, rel. 1, (6 0 0)

No. 11
Starting from a DFT-relaxed cell (GGA-PBE, the Materials Project), the powder diffractogram of Cs2YTlCl6 was computed for copper Kα.
Intensities are scaled so that the largest is 100.

Structural model:
```
data_Cs2YTlCl6
_chemical_formula_sum 'Cs8 Y4 Tl4 Cl24'
_cell_length_a 11.4996
_cell_length_b 11.4996
_cell_length_c 11.4996
_cell_angle_alpha 90.00
_cell_angle_beta 90.00
_cell_angle_gamma 90.00
_space_group_name_H-M_alt 'F m -3 m'
_space_group_IT_number 225
_space_group_name_Hall '-F 4 2 3'
loop_
_atom_site_label
_atom_site_type_symbol
_atom_site_fract_x
_atom_site_fract_y
_atom_site_fract_z
Cs1 Cs 0.2500 0.2500 0.2500
Y1 Y 0.0000 0.0000 0.0000
Tl1 Tl 0.0000 0.0000 0.5000
Cl1 Cl 0.0000 0.0000 0.2301
```

The 10 most intense peaks (15° ≤ 2θ ≤ 90°), by intensity:
2θ 21.9, rel. 100, (2 2 0); 2θ 31.1, rel. 52, (4 0 0); 2θ 38.3, rel. 46, (4 2 2); 2θ 44.6, rel. 36, (4 4 0); 2θ 60.2, rel. 27, (6 4 2); 2θ 50.2, rel. 24, (6 2 0); 2θ 86.3, rel. 15, (10 2 0); 2θ 73.7, rel. 15, (8 4 0); 2θ 69.3, rel. 12, (6 6 0); 2θ 55.4, rel. 12, (4 4 4)